Record 1
# Ac4Sn6O19
Calculated PXRD pattern, λ = 1.5418 Å (Cu Kα). Input: a crystal structure in Alexandria, relaxed with GGA-PBE.
Neutral-atom scattering factors, no anomalous dispersion.

Most intense lines, 2θ from 5° to 70°, in order of rising 2θ:
- hkl 2 1 1, 2θ 23.04, d = 3.860 Å, I 100.0
- hkl 3 0 1, 2θ 29.88, d = 2.990 Å, I 90.5
- hkl 2 2 2, 2θ 32.81, d = 2.730 Å, I 22.5
- hkl 3 1 2, 2θ 35.52, d = 2.527 Å, I 48.1
- hkl 3 3 0, 2θ 40.47, d = 2.229 Å, I 51.6
- hkl 4 2 2, 2θ 47.08, d = 1.930 Å, I 26.5
- hkl 4 3 1, 2θ 49.13, d = 1.854 Å, I 30.4
- hkl 5 1 2, 2θ 53.04, d = 1.726 Å, I 26.6
- hkl 6 0 0, 2θ 58.57, d = 1.576 Å, I 34.0
- hkl 6 1 3, 2θ 67.14, d = 1.394 Å, I 19.1

Structure:
a = 9.4560 Å, b = 9.4560 Å, c = 9.4560 Å
α = 90.00°, β = 90.00°, γ = 90.00°
Space group I23 (No. 197)
Unique sites:
Ac (0.1598, 0.1598, 0.1598) [8 per cell]
Sn (0.0000, 0.1672, 0.5000) [12 per cell]
O (0.0000, 0.0000, 0.0000) [2 per cell]
O (0.0000, 0.0000, 0.3489) [12 per cell]
O (0.0471, 0.2872, 0.6777) [24 per cell]

Record 2
# K5RbI7
Calculated PXRD pattern, λ = 1.5418 Å (Cu Kα). Input: a crystal structure in Alexandria, relaxed with GGA-PBE.
Neutral-atom scattering factors, no anomalous dispersion.

Most intense lines, 2θ from 5° to 70°, in order of rising 2θ:
- hkl 1 1 3, 2θ 20.28, d = 4.378 Å, I 15.2
- hkl 4 0 1, 2θ 20.72, d = 4.286 Å, I 9.3
- hkl 1 1 -4, 2θ 21.89, d = 4.060 Å, I 9.3
- hkl 2 0 7, 2θ 24.00, d = 3.708 Å, I 100.0
- hkl 3 1 -3, 2θ 24.99, d = 3.563 Å, I 43.6
- hkl 5 1 -4, 2θ 33.53, d = 2.673 Å, I 14.4
- hkl 0 2 0, 2θ 34.93, d = 2.569 Å, I 35.2
- hkl 1 1 -10, 2θ 36.23, d = 2.479 Å, I 24.5
- hkl 2 2 -7, 2θ 42.82, d = 2.112 Å, I 11.8
- hkl 2 2 7, 2θ 42.86, d = 2.110 Å, I 10.3

Structure:
a = 17.3400 Å, b = 5.1359 Å, c = 28.6993 Å
α = 90.00°, β = 90.20°, γ = 90.00°
Space group Cm (No. 8)
Unique sites:
K (0.0000, 0.0000, 0.0000) [2 per cell]
K (0.0003, 0.0000, 0.4991) [2 per cell]
K (0.0285, 0.5000, 0.8529) [2 per cell]
K (0.0294, 0.5000, 0.6463) [2 per cell]
K (0.2250, 0.5000, 0.4265) [2 per cell]
K (0.2257, 0.5000, 0.0728) [2 per cell]
K (0.2742, 0.0000, 0.9274) [2 per cell]
K (0.2754, 0.0000, 0.5716) [2 per cell]
K (0.4712, 0.0000, 0.3524) [2 per cell]
K (0.4718, 0.0000, 0.1467) [2 per cell]
Rb (0.1961, 0.0000, 0.2485) [2 per cell]
Rb (0.3053, 0.5000, 0.7512) [2 per cell]
I (0.0587, 0.5000, 0.2497) [2 per cell]
I (0.0982, 0.0000, 0.3925) [2 per cell]
I (0.0991, 0.0000, 0.1069) [2 per cell]
I (0.1362, 0.5000, 0.9588) [2 per cell]
I (0.1370, 0.5000, 0.5407) [2 per cell]
I (0.1659, 0.0000, 0.8069) [2 per cell]
I (0.1669, 0.0000, 0.6937) [2 per cell]
I (0.3341, 0.5000, 0.3057) [2 per cell]
I (0.3347, 0.5000, 0.1925) [2 per cell]
I (0.3635, 0.0000, 0.0412) [2 per cell]
I (0.3632, 0.0000, 0.4576) [2 per cell]
I (0.4010, 0.5000, 0.8930) [2 per cell]
I (0.4025, 0.5000, 0.6056) [2 per cell]
I (0.4428, 0.0000, 0.7494) [2 per cell]

Record 3
# Li3PmU3Se8
Calculated PXRD pattern, λ = 1.5418 Å (Cu Kα). Input: a crystal structure in Alexandria, relaxed with GGA-PBE.
Neutral-atom scattering factors, no anomalous dispersion.

Most intense lines, 2θ from 5° to 70°, in order of rising 2θ:
- hkl 0 0 3, 2θ 13.58, d = 6.521 Å, I 65.5
- hkl 0 2 1, 2θ 25.51, d = 3.492 Å, I 50.0
- hkl 0 2 4, 2θ 31.14, d = 2.872 Å, I 100.0
- hkl 2 0 5, 2θ 34.11, d = 2.629 Å, I 25.7
- hkl 0 2 7, 2θ 41.11, d = 2.196 Å, I 12.7
- hkl 2 2 0, 2θ 44.20, d = 2.049 Å, I 38.2
- hkl 2 0 8, 2θ 45.02, d = 2.014 Å, I 36.2
- hkl 2 2 3, 2θ 46.45, d = 1.955 Å, I 19.6
- hkl 4 0 4, 2θ 55.05, d = 1.668 Å, I 20.0
- hkl 0 4 8, 2θ 64.93, d = 1.436 Å, I 12.3

Structure:
a = 8.1958 Å, b = 8.1958 Å, c = 19.5634 Å
α = 90.00°, β = 90.00°, γ = 120.00°
Space group R-3m (No. 166, hexagonal axes)
Unique sites:
Li (0.0000, 0.5000, 0.0000) [9 per cell]
Pm (0.0000, 0.0000, 0.5000) [3 per cell]
U (0.0000, 0.5000, 0.5000) [9 per cell]
Se (0.0000, 0.0000, 0.2527) [6 per cell]
Se (0.0067, 0.5033, 0.7487) [18 per cell]

Record 4
# CoAgPCl2
Calculated PXRD pattern, λ = 1.5418 Å (Cu Kα). Input: a crystal structure in Alexandria, relaxed with GGA-PBE.
Neutral-atom scattering factors, no anomalous dispersion.

Most intense lines, 2θ from 5° to 70°, in order of rising 2θ:
- hkl 1 1 0, 2θ 25.84, d = 3.447 Å, I 52.5
- hkl 1 0 1, 2θ 28.05, d = 3.181 Å, I 100.0
- hkl 1 1 1, 2θ 33.64, d = 2.664 Å, I 69.7
- hkl 2 0 0, 2θ 36.87, d = 2.438 Å, I 88.1
- hkl 0 0 2, 2θ 43.11, d = 2.098 Å, I 27.4
- hkl 2 1 1, 2θ 46.96, d = 1.935 Å, I 47.4
- hkl 1 1 2, 2θ 50.95, d = 1.792 Å, I 16.5
- hkl 2 2 0, 2θ 53.13, d = 1.724 Å, I 28.2
- hkl 2 0 2, 2θ 57.99, d = 1.590 Å, I 42.5
- hkl 3 1 1, 2θ 64.38, d = 1.447 Å, I 18.3

Structure:
a = 4.8754 Å, b = 4.8754 Å, c = 4.1965 Å
α = 90.00°, β = 90.00°, γ = 90.00°
Space group P4/mmm (No. 123)
Unique sites:
Co (0.0000, 0.0000, 0.0000) [1 per cell]
Ag (0.5000, 0.5000, 0.5000) [1 per cell]
P (0.0000, 0.0000, 0.5000) [1 per cell]
Cl (0.0000, 0.5000, 0.0000) [2 per cell]